(1)
Sr3AlTe4: theoretical powder X-ray diffraction pattern (Cu Kα, 1.54184 Å), based on the PBE geometry in Alexandria.
Peak positions follow from Bragg's law for the DFT cell and can differ from measured ones.

Peak list (10 most intense, 10 to 90 degrees two-theta, in order of falling intensity)
| (hkl) | 2θ (°) | d_spacing | I/Imax |
| --- | --- | --- | --- |
| 2 3 0 | 32.74 | 2.735 | 100 |
| 2 1 0 | 18.87 | 4.703 | 94 |
| 0 0 2 | 26.73 | 3.335 | 78 |
| 2 3 2 | 42.75 | 2.115 | 73 |
| 2 1 2 | 32.93 | 2.720 | 45 |
| 0 2 0 | 18.65 | 4.757 | 43 |
| 4 0 0 | 33.11 | 2.705 | 41 |
| 4 0 2 | 43.06 | 2.101 | 37 |
| 4 0 4 | 65.82 | 1.419 | 30 |
| 2 1 1 | 23.14 | 3.844 | 21 |

Cell and atoms:
```
Sr3AlTe4
1.0
10.8212 0.0000 0.0000
0.0000 9.5145 0.0000
0.0000 0.0000 6.6692
Sr Al Te
6 2 8
Cartesian
0.0000 1.5129 0.0000
2.6057 3.1903 3.3381
2.8049 6.3241 0.0036
5.4106 8.0016 3.3346
8.0163 6.3241 0.0036
8.2155 3.1903 3.3381
0.0000 7.8669 2.8541
5.4106 1.6475 6.1887
0.0000 1.1742 3.3406
0.0000 7.8427 0.1308
2.4511 6.4897 3.3440
2.9595 3.0248 0.0095
5.4106 1.6718 3.4654
5.4106 8.3403 0.0061
7.8617 3.0248 0.0095
8.3701 6.4897 3.3440
```

***

(2)
DyY5Cd6: theoretical powder X-ray diffraction pattern (Cu Kα, 1.54184 Å), based on the PBE geometry in Alexandria.
Peak positions follow from Bragg's law for the DFT cell and can differ from measured ones.

Peak list (10 most intense, 10 to 90 degrees two-theta, in order of falling intensity)
| (hkl) | 2θ (°) | d_spacing | I/Imax |
| --- | --- | --- | --- |
| 1 2 1 | 33.81 | 2.651 | 100 |
| 3 2 0 | 60.46 | 1.531 | 30 |
| 2 0 2 | 48.51 | 1.876 | 12 |
| 3 2 3 | 81.02 | 1.187 | 9 |
| 3 2 -3 | 60.60 | 1.528 | 6 |
| 2 0 -4 | 48.66 | 1.871 | 6 |
| 2 4 2 | 71.05 | 1.327 | 5 |
| 4 0 -5 | 81.29 | 1.184 | 4 |
| 2 4 -4 | 71.15 | 1.325 | 4 |
| 4 0 1 | 81.18 | 1.185 | 3 |

Cell and atoms:
```
DyY5Cd6
1.0
5.2933 0.0000 0.0000
0.0000 7.5084 0.0000
-2.6264 0.0000 7.9575
Dy Y Cd
1 5 6
Cartesian
0.0000 0.0000 0.0000
0.0000 3.7542 0.0000
0.0127 0.0000 5.3050
0.0129 3.7542 5.3064
2.6541 0.0000 2.6525
2.6539 3.7542 2.6511
0.0074 1.8758 2.6494
0.0074 5.6326 2.6494
2.6466 1.8718 0.0000
2.6466 5.6366 0.0000
2.6594 1.8758 5.3081
2.6594 5.6326 5.3081
```